Structure and simulated X-ray diffraction stick pattern of Cu10Sn3 (DFT lattice parameters and positions (GGA-PBE); Cu Kα (weighted mean of Kα1 and Kα2)).
Peak positions follow from Bragg's law for the DFT cell and can differ from measured ones.

Main lines, in order of rising 2θ (15 to 90 degrees two-theta):
26.70 deg, I 11, (1 1 1)
42.07 deg, I 93, (1 1 3)
42.54 deg, I 100, (3 0 0)
44.51 deg, I 17, (2 0 3)
51.29 deg, I 10, (2 1 3)
61.37 deg, I 23, (2 2 3)
74.07 deg, I 11, (2 3 3)
77.53 deg, I 18, (4 1 3)
77.85 deg, I 11, (3 3 0)
86.72 deg, I 18, (3 0 6)

Crystal structure
```
data_Cu10Sn3
_symmetry_space_group_name_H-M 'P 63'
_symmetry_Int_Tables_number 173
_symmetry_space_group_name_Hall 'P 6c'
_cell_length_a 7.3617
_cell_length_b 7.3617
_cell_length_c 7.9347
_cell_angle_alpha 90.00
_cell_angle_beta 90.00
_cell_angle_gamma 120.00
loop_
_atom_site_label
_atom_site_type_symbol
_atom_site_fract_x
_atom_site_fract_y
_atom_site_fract_z
Cu1 Cu 0.0000 0.0000 0.0000
Cu2 Cu 0.0277 0.6690 0.9254
Cu3 Cu 0.0278 0.6710 0.5927
Cu4 Cu 0.3333 0.6667 0.0861
Cu5 Cu 0.3333 0.6667 0.4319
Cu6 Cu 0.3333 0.6667 0.7587
Sn1 Sn 0.0231 0.7068 0.2587
```


Structure and simulated X-ray diffraction stick pattern of CuSn3 (DFT lattice parameters and positions (GGA-PBE); Cu Kα (weighted mean of Kα1 and Kα2)).
Peak positions follow from Bragg's law for the DFT cell and can differ from measured ones.

Main lines, in order of rising 2θ (15 to 90 degrees two-theta):
21.84 deg, I 4, (1 0 1)
33.75 deg, I 100, (1 1 2)
36.91 deg, I 20, (0 0 4)
40.26 deg, I 31, (2 0 0)
55.76 deg, I 24, (2 0 4)
58.25 deg, I 11, (2 2 0)
64.49 deg, I 16, (1 1 6)
69.05 deg, I 26, (3 1 2)
70.99 deg, I 12, (2 2 4)
87.00 deg, I 4, (4 0 0)

Crystal structure
```
data_CuSn3
_symmetry_space_group_name_H-M 'I 4/m m m'
_symmetry_Int_Tables_number 139
_symmetry_space_group_name_Hall '-I 4 2'
_cell_length_a 4.480
_cell_length_b 4.480
_cell_length_c 9.741
_cell_angle_alpha 90.00
_cell_angle_beta 90.00
_cell_angle_gamma 90.00
loop_
_atom_site_label
_atom_site_type_symbol
_atom_site_fract_x
_atom_site_fract_y
_atom_site_fract_z
Cu1 Cu 0.000 0.000 0.000
Sn1 Sn 0.000 0.000 0.500
Sn2 Sn 0.000 0.500 0.250
```


Structure and simulated X-ray diffraction stick pattern of Cu10Sn3 (DFT lattice parameters and positions (GGA-PBE); Cu Kα (weighted mean of Kα1 and Kα2)).
Peak positions follow from Bragg's law for the DFT cell and can differ from measured ones.

Main lines, in order of rising 2θ (15 to 90 degrees two-theta):
26.80 deg, I 10, (1 1 1)
42.34 deg, I 93, (1 1 3)
42.67 deg, I 100, (3 0 0)
44.79 deg, I 18, (2 0 3)
51.57 deg, I 10, (1 2 3)
61.68 deg, I 23, (2 2 3)
74.42 deg, I 12, (3 2 3)
77.89 deg, I 17, (1 4 3)
78.12 deg, I 11, (3 3 0)
87.43 deg, I 18, (3 0 6)

Crystal structure
```
data_Cu10Sn3
_symmetry_space_group_name_H-M 'P 63/m'
_symmetry_Int_Tables_number 176
_symmetry_space_group_name_Hall '-P 6c'
_cell_length_a 7.3405
_cell_length_b 7.3405
_cell_length_c 7.8727
_cell_angle_alpha 90.00
_cell_angle_beta 90.00
_cell_angle_gamma 120.00
loop_
_atom_site_label
_atom_site_type_symbol
_atom_site_fract_x
_atom_site_fract_y
_atom_site_fract_z
Cu1 Cu 0.0000 0.0000 0.0000
Cu2 Cu 0.0291 0.3591 0.0861
Cu3 Cu 0.3333 0.6667 0.2500
Cu4 Cu 0.3333 0.6667 0.5804
Sn1 Sn 0.0236 0.3150 0.7500
```


Structure and simulated X-ray diffraction stick pattern of SrCuSn2 (DFT lattice parameters and positions (GGA-PBE); Cu Kα (weighted mean of Kα1 and Kα2)).
Peak positions follow from Bragg's law for the DFT cell and can differ from measured ones.

Main lines, in order of rising 2θ (15 to 90 degrees two-theta):
29.85 deg, I 18, (1 5 0)
30.67 deg, I 100, (1 3 1)
33.72 deg, I 23, (0 6 1)
38.84 deg, I 28, (2 0 0)
39.37 deg, I 27, (0 0 2)
41.84 deg, I 12, (0 8 1)
42.59 deg, I 25, (1 7 1)
46.06 deg, I 12, (1 9 0)
52.36 deg, I 13, (2 6 1)
56.50 deg, I 19, (2 0 2)

Crystal structure
```
data_SrCuSn2
_symmetry_space_group_name_H-M 'C m c m'
_symmetry_Int_Tables_number 63
_symmetry_space_group_name_Hall '-C 2c 2'
_cell_length_a 4.637
_cell_length_b 19.590
_cell_length_c 4.577
_cell_angle_alpha 90.00
_cell_angle_beta 90.00
_cell_angle_gamma 90.00
loop_
_atom_site_label
_atom_site_type_symbol
_atom_site_fract_x
_atom_site_fract_y
_atom_site_fract_z
Sr1 Sr 0.000 0.108 0.250
Cu1 Cu 0.000 0.325 0.250
Sn1 Sn 0.000 0.250 0.750
Sn2 Sn 0.000 0.457 0.250
```


Structure and simulated X-ray diffraction stick pattern of Sr3Cu8Sn4 (DFT lattice parameters and positions (GGA-PBE); Cu Kα (weighted mean of Kα1 and Kα2)).
Peak positions follow from Bragg's law for the DFT cell and can differ from measured ones.

Main lines, in order of rising 2θ (15 to 90 degrees two-theta):
24.59 deg, I 20, (2 0 1)
31.43 deg, I 69, (2 0 2)
34.99 deg, I 26, (3 0 1)
35.53 deg, I 35, (1 0 3)
36.94 deg, I 20, (2 1 2)
38.38 deg, I 100, (2 2 0)
40.55 deg, I 32, (2 0 3)
44.83 deg, I 29, (2 2 2)
45.11 deg, I 22, (2 1 3)
60.68 deg, I 27, (3 2 3)

Crystal structure
```
data_Sr3Cu8Sn4
_symmetry_space_group_name_H-M 'P 63 m c'
_symmetry_Int_Tables_number 186
_symmetry_space_group_name_Hall 'P 6c -2c'
_cell_length_a 9.3815
_cell_length_b 9.3815
_cell_length_c 7.9760
_cell_angle_alpha 90.00
_cell_angle_beta 90.00
_cell_angle_gamma 120.00
loop_
_atom_site_label
_atom_site_type_symbol
_atom_site_fract_x
_atom_site_fract_y
_atom_site_fract_z
Sr1 Sr 0.0512 0.5256 0.0000
Cu1 Cu 0.0000 0.0000 0.2269
Cu2 Cu 0.0980 0.1959 0.9802
Cu3 Cu 0.1610 0.3219 0.6732
Cu4 Cu 0.3333 0.6667 0.3358
Sn1 Sn 0.1654 0.3308 0.2953
Sn2 Sn 0.3333 0.6667 0.6822
```


Structure and simulated X-ray diffraction stick pattern of TbCuSn (DFT lattice parameters and positions (GGA-PBE); Cu Kα (weighted mean of Kα1 and Kα2)).
Peak positions follow from Bragg's law for the DFT cell and can differ from measured ones.

Main lines, in order of rising 2θ (15 to 90 degrees two-theta):
22.55 deg, I 9, (1 0 0)
25.65 deg, I 12, (1 0 1)
33.37 deg, I 100, (1 0 2)
39.59 deg, I 66, (1 1 0)
43.57 deg, I 12, (1 0 3)
52.72 deg, I 27, (2 0 2)
65.36 deg, I 17, (1 1 4)
67.90 deg, I 26, (2 1 2)
71.83 deg, I 11, (3 0 0)
85.27 deg, I 7, (2 2 0)

Crystal structure
```
data_TbCuSn
_symmetry_space_group_name_H-M 'P 63 m c'
_symmetry_Int_Tables_number 186
_symmetry_space_group_name_Hall 'P 6c -2c'
_cell_length_a 4.5525
_cell_length_b 4.5525
_cell_length_c 7.3324
_cell_angle_alpha 90.00
_cell_angle_beta 90.00
_cell_angle_gamma 120.00
loop_
_atom_site_label
_atom_site_type_symbol
_atom_site_fract_x
_atom_site_fract_y
_atom_site_fract_z
Tb1 Tb 0.0000 0.0000 0.0000
Cu1 Cu 0.3333 0.6667 0.1857
Sn1 Sn 0.3333 0.6667 0.7696
```